The following is a calculated X-ray diffraction stick pattern of PmInI4. It was derived from a PBE-relaxed structure, using Cu Kα, 1.54184 Å.
Kinematic intensities with the Lorentz-polarization factor, no thermal factor.

Atomic structure:
a b c (Å): 9.809 9.809 9.809
angles (deg): 124.42 119.43 86.76
Element x y z (fractional)
Pm 0.500 0.000 0.000
Pm 0.500 0.500 0.500
In 0.000 0.000 0.000
In 0.500 0.000 0.500
I 0.276 0.247 0.029
I 0.282 0.753 0.529
I 0.286 0.294 0.508
I 0.286 0.777 0.992
I 0.714 0.223 0.008
I 0.714 0.706 0.492
I 0.718 0.247 0.471
I 0.724 0.753 0.971

Most intense lines, 5 to 70 degrees two-theta, by angle:
2θ/deg  I/Imax
10.88  85
24.98  47
26.54  100
32.68  18
34.10  20
36.32  19
36.77  64
39.40  18
46.55  19
47.22  16

The following is a calculated X-ray diffraction stick pattern of PrIn2I6. It was derived from a PBE-relaxed structure, using Cu Kα, 1.54184 Å.
Kinematic intensities with the Lorentz-polarization factor, no thermal factor.

Atomic structure:
a b c (Å): 9.770 9.770 10.127
angles (deg): 102.17 102.17 109.72
Element x y z (fractional)
Pr 0.051 0.949 0.750
Pr 0.949 0.051 0.250
In 0.240 0.463 0.705
In 0.463 0.240 0.205
In 0.537 0.760 0.795
In 0.760 0.537 0.295
I 0.002 0.601 0.720
I 0.061 0.837 0.421
I 0.163 0.939 0.079
I 0.279 0.321 0.947
I 0.321 0.279 0.447
I 0.399 0.998 0.780
I 0.601 0.002 0.220
I 0.679 0.721 0.553
I 0.721 0.679 0.053
I 0.837 0.061 0.921
I 0.939 0.163 0.579
I 0.998 0.399 0.280

Most intense lines, 5 to 70 degrees two-theta, by angle:
2θ/deg  I/Imax
10.10  59
11.07  51
11.50  92
24.33  55
26.16  100
27.06  71
27.58  39
31.89  44
33.19  72
35.01  60

The following is a calculated X-ray diffraction stick pattern of PuIn2I8. It was derived from a PBE-relaxed structure, using Cu Kα, 1.54184 Å.
Kinematic intensities with the Lorentz-polarization factor, no thermal factor.

Atomic structure:
a b c (Å): 9.036 9.036 7.467
angles (deg): 97.25 97.25 75.09
Element x y z (fractional)
Pu 0.000 0.000 0.000
In 0.204 0.204 0.659
In 0.796 0.796 0.341
I 0.099 0.710 0.229
I 0.194 0.194 0.274
I 0.290 0.901 0.771
I 0.389 0.389 0.819
I 0.611 0.611 0.181
I 0.710 0.099 0.229
I 0.806 0.806 0.726
I 0.901 0.290 0.771

Most intense lines, 5 to 70 degrees two-theta, by angle:
2θ/deg  I/Imax
10.18  65
16.10  37
18.72  28
22.72  100
24.14  25
25.32  46
30.22  44
32.10  23
32.68  24
40.24  47

The following is a calculated X-ray diffraction stick pattern of PuIn2I4. It was derived from a PBE-relaxed structure, using Cu Kα, 1.54184 Å.
Kinematic intensities with the Lorentz-polarization factor, no thermal factor.

Atomic structure:
a b c (Å): 6.896 4.680 9.975
angles (deg): 90.00 108.95 90.00
Element x y z (fractional)
Pu 0.000 0.000 0.000
In 0.241 0.500 0.464
In 0.759 0.500 0.536
I 0.175 0.500 0.856
I 0.389 0.000 0.277
I 0.611 0.000 0.723
I 0.825 0.500 0.144

Most intense lines, 5 to 70 degrees two-theta, by angle:
2θ/deg  I/Imax
13.77  64
23.51  71
26.68  64
27.19  100
31.81  40
32.51  33
33.49  51
33.82  50
34.35  65
38.47  38

The following is a calculated X-ray diffraction stick pattern of Pu2In5I12. It was derived from a PBE-relaxed structure, using Cu Kα, 1.54184 Å.
Kinematic intensities with the Lorentz-polarization factor, no thermal factor.

Atomic structure:
a b c (Å): 10.818 10.818 10.712
angles (deg): 110.65 110.65 49.89
Element x y z (fractional)
Pu 0.246 0.754 0.000
Pu 0.754 0.246 0.000
In 0.175 0.175 0.843
In 0.238 0.238 0.354
In 0.500 0.500 0.500
In 0.762 0.762 0.646
In 0.825 0.825 0.157
I 0.014 0.014 0.214
I 0.072 0.587 0.911
I 0.155 0.611 0.408
I 0.389 0.845 0.592
I 0.413 0.928 0.089
I 0.483 0.483 0.790
I 0.517 0.517 0.210
I 0.587 0.072 0.911
I 0.611 0.155 0.408
I 0.845 0.389 0.592
I 0.928 0.413 0.089
I 0.986 0.986 0.786

Most intense lines, 5 to 70 degrees two-theta, by angle:
2θ/deg  I/Imax
8.96  45
9.79  43
16.79  40
25.81  100
26.61  76
27.39  62
31.60  54
33.75  57
37.34  79
39.49  48

The following is a calculated X-ray diffraction stick pattern of PuIn2I5. It was derived from a PBE-relaxed structure, using Cu Kα, 1.54184 Å.
Kinematic intensities with the Lorentz-polarization factor, no thermal factor.

Atomic structure:
a b c (Å): 11.158 9.018 7.915
angles (deg): 82.16 53.19 44.65
Element x y z (fractional)
Pu 0.000 0.000 0.000
In 0.298 0.298 0.702
In 0.702 0.702 0.298
I 0.002 0.723 0.277
I 0.277 0.998 0.002
I 0.500 0.500 0.500
I 0.723 0.002 0.998
I 0.998 0.277 0.723

Most intense lines, 5 to 70 degrees two-theta, by angle:
2θ/deg  I/Imax
12.17  100
16.32  50
24.34  46
28.17  100
28.61  66
32.46  62
37.91  30
40.49  35
43.81  54
50.40  22

The following is a calculated X-ray diffraction stick pattern of Rb2PuInI6. It was derived from a PBE-relaxed structure, using Cu Kα, 1.54184 Å.
Kinematic intensities with the Lorentz-polarization factor, no thermal factor.

Atomic structure:
a b c (Å): 8.491 9.201 14.957
angles (deg): 90.00 124.02 90.00
Element x y z (fractional)
Rb 0.215 0.087 0.249
Rb 0.215 0.413 0.749
Rb 0.785 0.587 0.251
Rb 0.785 0.913 0.751
Pu 0.500 0.000 0.000
Pu 0.500 0.500 0.500
In 0.000 0.000 0.500
In 0.000 0.500 0.000
I 0.147 0.182 0.944
I 0.147 0.318 0.444
I 0.271 0.710 0.943
I 0.271 0.790 0.443
I 0.378 0.034 0.763
I 0.378 0.466 0.263
I 0.622 0.534 0.737
I 0.622 0.966 0.237
I 0.729 0.210 0.557
I 0.729 0.290 0.057
I 0.853 0.682 0.556
I 0.853 0.818 0.056

Most intense lines, 5 to 70 degrees two-theta, by angle:
2θ/deg  I/Imax
14.22  100
23.10  57
24.08  83
28.61  63
28.81  43
31.00  47
31.86  28
36.09  56
36.37  28
42.71  32

The following is a calculated X-ray diffraction stick pattern of Rb5InI5. It was derived from a PBE-relaxed structure, using Cu Kα, 1.54184 Å.
Kinematic intensities with the Lorentz-polarization factor, no thermal factor.

Atomic structure:
a b c (Å): 9.072 9.072 10.442
angles (deg): 106.91 106.91 48.00
Element x y z (fractional)
Rb 0.000 0.000 0.000
Rb 0.332 0.332 0.168
Rb 0.336 0.336 0.669
Rb 0.664 0.664 0.331
Rb 0.668 0.668 0.832
In 0.000 0.000 0.500
I 0.161 0.161 0.339
I 0.163 0.163 0.825
I 0.500 0.500 0.500
I 0.837 0.837 0.175
I 0.839 0.839 0.661

Most intense lines, 5 to 70 degrees two-theta, by angle:
2θ/deg  I/Imax
8.93  7
24.08  100
34.28  40
34.36  39
42.37  29
49.39  9
55.54  13
55.68  22
61.45  14
61.56  9

The following is a calculated X-ray diffraction stick pattern of Rb2In2I. It was derived from a PBE-relaxed structure, using Cu Kα, 1.54184 Å.
Kinematic intensities with the Lorentz-polarization factor, no thermal factor.

Atomic structure:
a b c (Å): 11.414 11.414 11.414
angles (deg): 157.67 157.67 31.79
Element x y z (fractional)
Rb 0.099 0.099 0.000
Rb 0.901 0.901 0.000
In 0.250 0.750 0.500
In 0.750 0.250 0.500
I 0.500 0.500 0.000

Most intense lines, 5 to 70 degrees two-theta, by angle:
2θ/deg  I/Imax
16.15  31
23.51  33
28.65  59
29.72  100
32.63  19
32.98  27
40.83  34
50.64  23
50.82  36
67.55  18

The following is a calculated X-ray diffraction stick pattern of Rb5InI7. It was derived from a PBE-relaxed structure, using Cu Kα, 1.54184 Å.
Kinematic intensities with the Lorentz-polarization factor, no thermal factor.

Atomic structure:
a b c (Å): 5.434 31.514 9.102
angles (deg): 90.00 107.24 90.00
Element x y z (fractional)
Rb 0.000 0.111 0.000
Rb 0.000 0.889 0.000
Rb 0.057 0.389 0.129
Rb 0.057 0.611 0.129
Rb 0.258 0.178 0.519
Rb 0.258 0.822 0.519
Rb 0.528 0.250 0.064
Rb 0.528 0.750 0.064
Rb 0.799 0.322 0.609
Rb 0.799 0.678 0.609
In 0.269 0.000 0.530
In 0.789 0.500 0.599
I 0.164 0.287 0.337
I 0.164 0.713 0.337
I 0.354 0.500 0.730
I 0.374 0.072 0.744
I 0.374 0.928 0.744
I 0.433 0.354 0.879
I 0.433 0.646 0.879
I 0.624 0.146 0.250
I 0.624 0.854 0.250
I 0.684 0.428 0.385
I 0.684 0.572 0.385
I 0.703 0.000 0.398
I 0.893 0.213 0.792
I 0.893 0.787 0.792

Most intense lines, 5 to 70 degrees two-theta, by angle:
2θ/deg  I/Imax
15.18  28
22.24  100
22.61  49
23.14  88
23.99  42
25.15  25
32.96  54
33.27  28
33.74  67
40.13  52

The following is a calculated X-ray diffraction stick pattern of RbInI4. It was derived from a PBE-relaxed structure, using Cu Kα, 1.54184 Å.
Kinematic intensities with the Lorentz-polarization factor, no thermal factor.

Atomic structure:
a b c (Å): 15.037 15.037 15.037
angles (deg): 115.18 115.18 115.18
Element x y z (fractional)
Rb 0.041 0.823 0.636
Rb 0.136 0.323 0.541
Rb 0.323 0.541 0.136
Rb 0.541 0.136 0.323
Rb 0.636 0.041 0.823
Rb 0.823 0.636 0.041
In 0.021 0.627 0.810
In 0.127 0.521 0.310
In 0.310 0.127 0.521
In 0.521 0.310 0.127
In 0.627 0.810 0.021
In 0.810 0.021 0.627
I 0.024 0.277 0.731
I 0.061 0.856 0.909
I 0.061 0.993 0.453
I 0.231 0.777 0.524
I 0.239 0.921 0.290
I 0.277 0.731 0.024
I 0.290 0.239 0.921
I 0.356 0.561 0.409
I 0.409 0.356 0.561
I 0.421 0.739 0.790
I 0.453 0.061 0.993
I 0.493 0.561 0.953
I 0.524 0.231 0.777
I 0.561 0.409 0.356
I 0.561 0.953 0.493
I 0.731 0.024 0.277
I 0.739 0.790 0.421
I 0.777 0.524 0.231
I 0.790 0.421 0.739
I 0.856 0.909 0.061
I 0.909 0.061 0.856
I 0.921 0.290 0.239
I 0.953 0.493 0.561
I 0.993 0.453 0.061

Most intense lines, 5 to 70 degrees two-theta, by angle:
2θ/deg  I/Imax
13.82  34
23.16  27
24.23  100
25.00  83
25.30  32
26.93  53
28.74  32
41.41  33
42.64  38
44.40  24

The following is a calculated X-ray diffraction stick pattern of RbIn2I3. It was derived from a PBE-relaxed structure, using Cu Kα, 1.54184 Å.
Kinematic intensities with the Lorentz-polarization factor, no thermal factor.

Atomic structure:
a b c (Å): 5.071 5.071 11.359
angles (deg): 102.88 102.88 90.00
Element x y z (fractional)
Rb 0.000 0.000 0.000
In 0.333 0.332 0.665
In 0.668 0.667 0.335
I 0.173 0.171 0.344
I 0.500 0.500 0.000
I 0.829 0.827 0.656

Most intense lines, 5 to 70 degrees two-theta, by angle:
2θ/deg  I/Imax
8.20  2
21.45  1
24.81  100
35.38  78
43.69  28
50.82  4
50.93  9
57.39  21
57.46  16
63.50  27

Which formula does entry 4 have?
PuIn2I4

What did the eleventh record say?
The following is a calculated X-ray diffraction stick pattern of RbInI4. It was derived from a PBE-relaxed structure, using Cu Kα, 1.54184 Å.
Kinematic intensities with the Lorentz-polarization factor, no thermal factor.

Atomic structure:
a b c (Å): 15.037 15.037 15.037
angles (deg): 115.18 115.18 115.18
Element x y z (fractional)
Rb 0.041 0.823 0.636
Rb 0.136 0.323 0.541
Rb 0.323 0.541 0.136
Rb 0.541 0.136 0.323
Rb 0.636 0.041 0.823
Rb 0.823 0.636 0.041
In 0.021 0.627 0.810
In 0.127 0.521 0.310
In 0.310 0.127 0.521
In 0.521 0.310 0.127
In 0.627 0.810 0.021
In 0.810 0.021 0.627
I 0.024 0.277 0.731
I 0.061 0.856 0.909
I 0.061 0.993 0.453
I 0.231 0.777 0.524
I 0.239 0.921 0.290
I 0.277 0.731 0.024
I 0.290 0.239 0.921
I 0.356 0.561 0.409
I 0.409 0.356 0.561
I 0.421 0.739 0.790
I 0.453 0.061 0.993
I 0.493 0.561 0.953
I 0.524 0.231 0.777
I 0.561 0.409 0.356
I 0.561 0.953 0.493
I 0.731 0.024 0.277
I 0.739 0.790 0.421
I 0.777 0.524 0.231
I 0.790 0.421 0.739
I 0.856 0.909 0.061
I 0.909 0.061 0.856
I 0.921 0.290 0.239
I 0.953 0.493 0.561
I 0.993 0.453 0.061

Most intense lines, 5 to 70 degrees two-theta, by angle:
2θ/deg  I/Imax
13.82  34
23.16  27
24.23  100
25.00  83
25.30  32
26.93  53
28.74  32
41.41  33
42.64  38
44.40  24